Record 1
Structure and theoretical X-ray diffraction stick pattern of PmSi (DFT lattice parameters and positions (GGA-PBE); Cu Kα).
Neutral-atom scattering factors, no anomalous dispersion.

Principal peaks in the range 5 to 70 degrees two-theta, by angle:
Position (°2θ)  intensity
27.33  38.6
29.47  100.0
31.59  72.6
32.39  81.8
35.18  43.5
36.32  47.8
39.89  39.1
51.31  33.5

Structure:
Lattice parameters (Å, degrees): 8.1810 3.9242 5.8739 90.00 90.00 90.00
Fractional positions:
Pm  0.1799  0.2500  0.1143
Pm  0.3201  0.7500  0.6143
Pm  0.6799  0.2500  0.3857
Pm  0.8201  0.7500  0.8857
Si  0.0356  0.2500  0.6230
Si  0.4644  0.7500  0.1230
Si  0.5356  0.2500  0.8770
Si  0.9644  0.7500  0.3770

---

Record 2
Structure and theoretical X-ray diffraction stick pattern of Li2Sm3Cu9 (DFT lattice parameters and positions (GGA-PBE); Cu Kα).
Neutral-atom scattering factors, no anomalous dispersion.

Principal peaks in the range 5 to 70 degrees two-theta, by angle:
Position (°2θ)  intensity
13.99  27.4
29.74  66.9
35.08  75.0
36.35  100.0
36.81  44.9
37.49  96.6
42.24  62.6
56.04  37.4

Structure:
Lattice parameters (Å, degrees): 7.9703 7.9703 7.9703 148.86 113.93 74.84
Fractional positions:
Li  0.1942  0.0000  0.1942
Li  0.8058  0.0000  0.8058
Sm  0.2083  0.2083  0.0000
Sm  0.5000  0.5000  0.0000
Sm  0.7917  0.7917  0.0000
Cu  0.0000  0.5000  0.5000
Cu  0.0854  0.3715  0.7139
Cu  0.1866  0.8327  0.3538
Cu  0.3424  0.6285  0.7139
Cu  0.4789  0.8327  0.6462
Cu  0.5211  0.1673  0.3538
Cu  0.6576  0.3715  0.2861
Cu  0.8134  0.1673  0.6462
Cu  0.9146  0.6285  0.2861

---

Record 3
Structure and theoretical X-ray diffraction stick pattern of NdY4Er10 (DFT lattice parameters and positions (GGA-PBE); Cu Kα).
Neutral-atom scattering factors, no anomalous dispersion.

Principal peaks in the range 5 to 70 degrees two-theta, by angle:
Position (°2θ)  intensity
12.24  48.8
26.40  28.5
28.98  89.5
32.26  100.0
33.49  58.3
41.45  36.1
41.80  31.0
59.49  21.3

Structure:
Lattice parameters (Å, degrees): 8.7525 8.7525 8.7525 112.36 112.36 103.83
Fractional positions:
Nd  0.0000  0.0000  0.0000
Y  0.2067  0.4436  0.6503
Y  0.4436  0.7933  0.2369
Y  0.5564  0.2067  0.7631
Y  0.7933  0.5564  0.3497
Er  0.0480  0.3892  0.0993
Er  0.0513  0.9520  0.3413
Er  0.2500  0.7500  0.5000
Er  0.2899  0.9487  0.9007
Er  0.3892  0.2899  0.3413
Er  0.6108  0.7101  0.6587
Er  0.7101  0.0513  0.0993
Er  0.7500  0.2500  0.5000
Er  0.9487  0.0480  0.6587
Er  0.9520  0.6108  0.9007

---

Record 4
Structure and theoretical X-ray diffraction stick pattern of Rb2AgAs2S6 (DFT lattice parameters and positions (GGA-PBE); Cu Kα).
Neutral-atom scattering factors, no anomalous dispersion.

Principal peaks in the range 5 to 70 degrees two-theta, by angle:
Position (°2θ)  intensity
13.77  38.2
20.69  50.9
24.76  100.0
25.52  34.5
26.04  42.9
27.76  76.0
33.87  49.2
39.90  30.2

Structure:
Lattice parameters (Å, degrees): 7.5273 7.5273 7.2790 104.64 104.64 54.08
Fractional positions:
Rb  0.2043  0.2043  0.2005
Rb  0.7957  0.7957  0.7995
Ag  0.0000  0.0000  0.5000
As  0.4800  0.4800  0.8106
As  0.5200  0.5200  0.1894
S  0.1702  0.6978  0.2282
S  0.3022  0.8298  0.7718
S  0.3158  0.3158  0.6944
S  0.6842  0.6842  0.3056
S  0.6978  0.1702  0.2282
S  0.8298  0.3022  0.7718

---

Record 5
Structure and theoretical X-ray diffraction stick pattern of EuPb6 (DFT lattice parameters and positions (GGA-PBE); Cu Kα).
Neutral-atom scattering factors, no anomalous dispersion.

Principal peaks in the range 5 to 70 degrees two-theta, by angle:
Position (°2θ)  intensity
14.61  36.3
20.71  40.6
25.44  100.0
36.28  49.6
39.30  65.3
42.14  40.7
61.12  27.7
67.29  20.7

Structure:
Lattice parameters (Å, degrees): 7.4280 7.4280 7.4280 109.47 109.47 109.47
Fractional positions:
Eu  0.0000  0.0000  0.0000
Pb  0.2500  0.5000  0.7500
Pb  0.2500  0.7500  0.5000
Pb  0.5000  0.2500  0.7500
Pb  0.5000  0.7500  0.2500
Pb  0.7500  0.2500  0.5000
Pb  0.7500  0.5000  0.2500

---

Record 6
Structure and theoretical X-ray diffraction stick pattern of CsBeBr3 (DFT lattice parameters and positions (GGA-PBE); Cu Kα).
Neutral-atom scattering factors, no anomalous dispersion.

Principal peaks in the range 5 to 70 degrees two-theta, by angle:
Position (°2θ)  intensity
19.13  19.7
20.89  22.3
23.13  29.6
28.20  34.0
29.76  100.0
34.49  26.3
36.79  17.3
50.90  19.6

Structure:
Lattice parameters (Å, degrees): 8.5806 8.5806 6.3280 90.00 90.00 127.34
Fractional positions:
Cs  0.1462  0.8538  0.5000
Cs  0.8538  0.1462  0.0000
Be  0.4276  0.5724  0.5834
Be  0.5724  0.4276  0.0834
Br  0.1210  0.4018  0.5027
Br  0.4018  0.1210  0.0027
Br  0.4382  0.5618  0.9474
Br  0.5618  0.4382  0.4474
Br  0.5982  0.8790  0.5027
Br  0.8790  0.5982  0.0027

---

Record 7
Structure and theoretical X-ray diffraction stick pattern of PuGaO2 (DFT lattice parameters and positions (GGA-PBE); Cu Kα).
Neutral-atom scattering factors, no anomalous dispersion.

Principal peaks in the range 5 to 70 degrees two-theta, by angle:
Position (°2θ)  intensity
13.14  61.6
26.46  60.1
33.75  37.9
34.64  100.0
38.02  61.2
49.60  42.4
57.09  26.0
66.53  28.6

Structure:
Lattice parameters (Å, degrees): 6.9697 6.9697 6.9697 25.64 25.64 25.64
Fractional positions:
Pu  0.0000  0.0000  0.0000
Ga  0.5000  0.5000  0.5000
O  0.1164  0.1164  0.1164
O  0.8836  0.8836  0.8836

---

Record 8
Structure and theoretical X-ray diffraction stick pattern of AlGeW (DFT lattice parameters and positions (GGA-PBE); Cu Kα).
Neutral-atom scattering factors, no anomalous dispersion.

Principal peaks in the range 5 to 70 degrees two-theta, by angle:
Position (°2θ)  intensity
23.32  70.8
29.08  45.4
37.05  22.1
38.15  100.0
40.57  41.1
42.34  72.8
48.23  51.3
64.80  21.1

Structure:
Lattice parameters (Å, degrees): 6.1481 5.0698 4.8926 76.19 53.20 50.61
Fractional positions:
Al  0.1628  0.8372  0.1628
Al  0.8372  0.1628  0.8372
Ge  0.0890  0.4110  0.0890
Ge  0.4110  0.0890  0.4110
W  0.5000  0.5000  0.5000
W  0.7500  0.7500  0.7500

---

Record 9
Structure and theoretical X-ray diffraction stick pattern of Lu2ZrRh (DFT lattice parameters and positions (GGA-PBE); Cu Kα).
Neutral-atom scattering factors, no anomalous dispersion.

Principal peaks in the range 5 to 70 degrees two-theta, by angle:
Position (°2θ)  intensity
11.32  15.9
35.03  100.0
37.50  50.1
43.81  15.2
54.08  17.5
61.16  12.4
65.74  10.7
66.08  31.3

Structure:
Lattice parameters (Å, degrees): 3.3915 3.3915 7.8177 90.00 90.00 90.00
Fractional positions:
Lu  0.0000  0.0000  0.2071
Lu  0.0000  0.0000  0.7929
Zr  0.5000  0.5000  0.5000
Rh  0.5000  0.5000  0.0000

---

Record 10
Structure and theoretical X-ray diffraction stick pattern of LiMn2Cu (DFT lattice parameters and positions (GGA-PBE); Cu Kα).
Neutral-atom scattering factors, no anomalous dispersion.

Principal peaks in the range 5 to 70 degrees two-theta, by angle:
Position (°2θ)  intensity
16.76  50.0
24.24  27.5
29.62  21.1
33.90  15.1
42.11  100.0
42.83  98.9
49.34  61.0
49.66  31.1

Structure:
Lattice parameters (Å, degrees): 2.5807 3.6718 5.2888 90.00 90.00 90.00
Fractional positions:
Li  0.0000  0.0000  0.0000
Mn  0.0000  0.0000  0.4990
Mn  0.5000  0.5000  0.2885
Cu  0.5000  0.5000  0.7764

---

Record 11
Structure and theoretical X-ray diffraction stick pattern of Pm4Hg2Te5 (DFT lattice parameters and positions (GGA-PBE); Cu Kα).
Neutral-atom scattering factors, no anomalous dispersion.

Principal peaks in the range 5 to 70 degrees two-theta, by angle:
Position (°2θ)  intensity
20.73  85.1
23.45  46.2
30.89  64.9
33.59  100.0
35.14  53.6
40.85  82.2
41.41  37.4
52.56  38.8

Structure:
Lattice parameters (Å, degrees): 11.7872 11.7872 7.9102 95.51 95.51 21.32
Fractional positions:
Pm  0.0653  0.0653  0.2208
Pm  0.2756  0.2756  0.7729
Pm  0.7244  0.7244  0.2271
Pm  0.9347  0.9347  0.7792
Hg  0.0606  0.0606  0.6535
Hg  0.9394  0.9394  0.3465
Te  0.1656  0.1656  0.9745
Te  0.1767  0.1767  0.4678
Te  0.5000  0.5000  0.0000
Te  0.8233  0.8233  0.5322
Te  0.8344  0.8344  0.0255

---

Record 12
Structure and theoretical X-ray diffraction stick pattern of Pr3Sm5Y3 (DFT lattice parameters and positions (GGA-PBE); Cu Kα).
Neutral-atom scattering factors, no anomalous dispersion.

Principal peaks in the range 5 to 70 degrees two-theta, by angle:
Position (°2θ)  intensity
10.54  52.6
15.71  52.0
24.21  71.9
31.73  55.1
31.99  61.1
32.38  100.0
41.99  48.3
45.68  45.5

Structure:
Lattice parameters (Å, degrees): 9.6920 9.6920 5.6401 90.00 90.00 120.00
Fractional positions:
Pr  0.0000  0.5880  0.0000
Pr  0.4120  0.4120  0.0000
Pr  0.5880  0.0000  0.0000
Sm  0.0000  0.3816  0.5000
Sm  0.3333  0.6667  0.5000
Sm  0.3816  0.0000  0.5000
Sm  0.6184  0.6184  0.5000
Sm  0.6667  0.3333  0.5000
Y  0.0000  0.7502  0.5000
Y  0.2498  0.2498  0.5000
Y  0.7502  0.0000  0.5000

---

Record 13
Structure and theoretical X-ray diffraction stick pattern of K2NdGeSe4 (DFT lattice parameters and positions (GGA-PBE); Cu Kα).
Neutral-atom scattering factors, no anomalous dispersion.

Principal peaks in the range 5 to 70 degrees two-theta, by angle:
Position (°2θ)  intensity
12.33  13.0
12.58  21.9
29.01  100.0
40.86  10.5
41.48  45.3
42.19  12.1
50.86  10.0
51.99  11.9

Structure:
Lattice parameters (Å, degrees): 8.7099 8.7099 8.7099 121.07 119.06 89.89
Fractional positions:
K  0.0000  0.0000  0.0000
K  0.5000  0.0000  0.0000
K  0.5000  0.0000  0.5000
K  0.5000  0.5000  0.5000
Nd  0.0000  0.5000  0.5000
Nd  0.5000  0.5000  0.0000
Ge  0.0000  0.0000  0.5000
Ge  0.0000  0.5000  0.0000
Se  0.1984  0.7410  0.4573
Se  0.2163  0.2590  0.9573
Se  0.2290  0.2478  0.5188
Se  0.2290  0.7102  0.9812
Se  0.7710  0.2898  0.0188
Se  0.7710  0.7522  0.4812
Se  0.7837  0.7410  0.0427
Se  0.8016  0.2590  0.5427